Structure and calculated powder XRD pattern of Ho3Zn4In2 (a cell relaxed with GGA-PBE; copper Kα).
Intensities are scaled so that the largest is 100.

Largest 10 diffraction maxima, by intensity, 2θ from 10° to 90°:
2θ (°)  I (rel.)
38.99  100
33.82  81
33.93  80
67.43  28
52.67  23
22.22  22
52.55  15
51.84  13
67.23  13
66.86  13

Structure:
```
data_Ho3Zn4In2
_chemical_formula_sum 'Ho3 Zn4 In2'
_cell_length_a 5.803
_cell_length_b 5.803
_cell_length_c 8.767
_cell_angle_alpha 112.62
_cell_angle_beta 112.62
_cell_angle_gamma 46.88
_symmetry_space_group_name_H-M 'P 1'
_symmetry_Int_Tables_number 1
loop_
_symmetry_equiv_pos_as_xyz
'x,y,z'
loop_
_atom_site_label
_atom_site_type_symbol
_atom_site_fract_x
_atom_site_fract_y
_atom_site_fract_z
Ho1 Ho 0.000 0.000 0.000
Ho2 Ho 0.336 0.336 0.326
Ho3 Ho 0.664 0.664 0.674
Zn1 Zn 0.071 0.071 0.414
Zn2 Zn 0.285 0.285 0.963
Zn3 Zn 0.715 0.715 0.037
Zn4 Zn 0.929 0.929 0.586
In1 In 0.385 0.385 0.721
In2 In 0.615 0.615 0.279
```


Structure and calculated powder XRD pattern of Dy3Mg7 (a cell relaxed with GGA-PBE; copper Kα).
Intensities are scaled so that the largest is 100.

Largest 10 diffraction maxima, by intensity, 2θ from 10° to 90°:
2θ (°)  I (rel.)
33.53  100
33.93  97
35.25  89
24.73  83
22.58  50
18.34  44
14.56  35
50.71  31
25.36  31
23.03  21

Structure:
```
data_Dy3Mg7
_chemical_formula_sum 'Dy3 Mg7'
_cell_length_a 8.622
_cell_length_b 8.622
_cell_length_c 6.487
_cell_angle_alpha 109.38
_cell_angle_beta 109.38
_cell_angle_gamma 34.36
_symmetry_space_group_name_H-M 'P 1'
_symmetry_Int_Tables_number 1
loop_
_symmetry_equiv_pos_as_xyz
'x,y,z'
loop_
_atom_site_label
_atom_site_type_symbol
_atom_site_fract_x
_atom_site_fract_y
_atom_site_fract_z
Dy1 Dy 0.000 0.000 0.000
Dy2 Dy 0.206 0.206 0.795
Dy3 Dy 0.794 0.794 0.205
Mg1 Mg 0.000 0.000 0.500
Mg2 Mg 0.199 0.199 0.301
Mg3 Mg 0.393 0.393 0.617
Mg4 Mg 0.408 0.408 0.135
Mg5 Mg 0.592 0.592 0.865
Mg6 Mg 0.607 0.607 0.383
Mg7 Mg 0.801 0.801 0.699
```


Structure and calculated powder XRD pattern of Hf7Co2As2 (a cell relaxed with GGA-PBE; copper Kα).
Intensities are scaled so that the largest is 100.

Largest 10 diffraction maxima, by intensity, 2θ from 10° to 90°:
2θ (°)  I (rel.)
37.96  100
36.91  69
33.56  66
38.40  52
34.03  31
32.01  29
52.04  29
65.50  26
57.62  26
31.87  24

Structure:
```
data_Hf7Co2As2
_chemical_formula_sum 'Hf7 Co2 As2'
_cell_length_a 8.334
_cell_length_b 8.334
_cell_length_c 8.334
_cell_angle_alpha 155.65
_cell_angle_beta 67.77
_cell_angle_gamma 117.85
_symmetry_space_group_name_H-M 'P 1'
_symmetry_Int_Tables_number 1
loop_
_symmetry_equiv_pos_as_xyz
'x,y,z'
loop_
_atom_site_label
_atom_site_type_symbol
_atom_site_fract_x
_atom_site_fract_y
_atom_site_fract_z
Hf1 Hf 0.000 0.000 0.000
Hf2 Hf 0.289 0.415 0.874
Hf3 Hf 0.306 0.624 0.682
Hf4 Hf 0.541 0.415 0.126
Hf5 Hf 0.619 0.261 0.358
Hf6 Hf 0.903 0.261 0.642
Hf7 Hf 0.942 0.624 0.318
Co1 Co 0.169 0.931 0.238
Co2 Co 0.693 0.931 0.762
As1 As 0.257 0.757 0.500
As2 As 0.665 0.665 0.000
```


Structure and calculated powder XRD pattern of Dy4Ge6Os7 (a cell relaxed with GGA-PBE; copper Kα).
Intensities are scaled so that the largest is 100.

Largest 10 diffraction maxima, by intensity, 2θ from 10° to 90°:
2θ (°)  I (rel.)
37.18  100
43.20  70
62.75  41
40.29  38
75.25  31
26.06  23
51.15  18
79.23  12
77.25  11
30.18  11

Structure:
```
data_Dy4Ge6Os7
_chemical_formula_sum 'Dy4 Ge6 Os7'
_cell_length_a 7.254
_cell_length_b 7.254
_cell_length_c 7.254
_cell_angle_alpha 109.47
_cell_angle_beta 109.47
_cell_angle_gamma 109.47
_symmetry_space_group_name_H-M 'P 1'
_symmetry_Int_Tables_number 1
loop_
_symmetry_equiv_pos_as_xyz
'x,y,z'
loop_
_atom_site_label
_atom_site_type_symbol
_atom_site_fract_x
_atom_site_fract_y
_atom_site_fract_z
Dy1 Dy 0.000 0.000 0.500
Dy2 Dy 0.000 0.500 0.000
Dy3 Dy 0.500 0.000 0.000
Dy4 Dy 0.500 0.500 0.500
Ge1 Ge 0.000 0.311 0.311
Ge2 Ge 0.000 0.689 0.689
Ge3 Ge 0.311 0.000 0.311
Ge4 Ge 0.311 0.311 0.000
Ge5 Ge 0.689 0.000 0.689
Ge6 Ge 0.689 0.689 0.000
Os1 Os 0.000 0.000 0.000
Os2 Os 0.250 0.500 0.750
Os3 Os 0.250 0.750 0.500
Os4 Os 0.500 0.250 0.750
Os5 Os 0.500 0.750 0.250
Os6 Os 0.750 0.250 0.500
Os7 Os 0.750 0.500 0.250
```


Structure and calculated powder XRD pattern of Ca2HoTl9 (a cell relaxed with GGA-PBE; copper Kα).
Intensities are scaled so that the largest is 100.

Largest 10 diffraction maxima, by intensity, 2θ from 10° to 90°:
2θ (°)  I (rel.)
32.13  100
37.27  50
64.00  42
53.73  36
88.28  18
67.21  12
18.39  8
26.12  7
79.44  6
41.86  4

Structure:
```
data_Ca2HoTl9
_chemical_formula_sum 'Ca2 Ho1 Tl9'
_cell_length_a 4.826
_cell_length_b 4.826
_cell_length_c 14.474
_cell_angle_alpha 90.00
_cell_angle_beta 90.00
_cell_angle_gamma 90.00
_symmetry_space_group_name_H-M 'P 1'
_symmetry_Int_Tables_number 1
loop_
_symmetry_equiv_pos_as_xyz
'x,y,z'
loop_
_atom_site_label
_atom_site_type_symbol
_atom_site_fract_x
_atom_site_fract_y
_atom_site_fract_z
Ca1 Ca 0.000 0.000 0.171
Ca2 Ca 0.000 0.000 0.829
Ho1 Ho 0.000 0.000 0.500
Tl1 Tl 0.000 0.500 0.000
Tl2 Tl 0.000 0.500 0.337
Tl3 Tl 0.000 0.500 0.663
Tl4 Tl 0.500 0.000 0.000
Tl5 Tl 0.500 0.000 0.337
Tl6 Tl 0.500 0.000 0.663
Tl7 Tl 0.500 0.500 0.166
Tl8 Tl 0.500 0.500 0.500
Tl9 Tl 0.500 0.500 0.834
```


Structure and calculated powder XRD pattern of BaLi8Cd2 (a cell relaxed with GGA-PBE; copper Kα).
Intensities are scaled so that the largest is 100.

Largest 10 diffraction maxima, by intensity, 2θ from 10° to 90°:
2θ (°)  I (rel.)
24.36  100
36.80  49
16.80  48
34.36  41
16.63  32
53.31  23
20.48  20
47.73  19
32.51  19
33.96  17

Structure:
```
data_BaLi8Cd2
_chemical_formula_sum 'Ba1 Li8 Cd2'
_cell_length_a 11.248
_cell_length_b 11.248
_cell_length_c 11.248
_cell_angle_alpha 151.65
_cell_angle_beta 151.65
_cell_angle_gamma 40.52
_symmetry_space_group_name_H-M 'P 1'
_symmetry_Int_Tables_number 1
loop_
_symmetry_equiv_pos_as_xyz
'x,y,z'
loop_
_atom_site_label
_atom_site_type_symbol
_atom_site_fract_x
_atom_site_fract_y
_atom_site_fract_z
Ba1 Ba 0.000 0.000 0.000
Li1 Li 0.099 0.099 0.500
Li2 Li 0.099 0.599 0.000
Li3 Li 0.401 0.401 0.500
Li4 Li 0.401 0.901 0.000
Li5 Li 0.599 0.099 0.000
Li6 Li 0.599 0.599 0.500
Li7 Li 0.901 0.401 0.000
Li8 Li 0.901 0.901 0.500
Cd1 Cd 0.250 0.750 0.500
Cd2 Cd 0.750 0.250 0.500
```


Structure and calculated powder XRD pattern of In3Au (a cell relaxed with GGA-PBE; copper Kα).
Intensities are scaled so that the largest is 100.

Largest 10 diffraction maxima, by intensity, 2θ from 10° to 90°:
2θ (°)  I (rel.)
32.62  100
38.59  83
28.93  62
41.68  38
10.27  36
65.98  26
41.97  19
68.12  18
66.62  17
59.94  17

Structure:
```
data_In3Au
_chemical_formula_sum 'In3 Au1'
_cell_length_a 3.305
_cell_length_b 3.564
_cell_length_c 8.610
_cell_angle_alpha 90.00
_cell_angle_beta 90.00
_cell_angle_gamma 90.00
_symmetry_space_group_name_H-M 'P 1'
_symmetry_Int_Tables_number 1
loop_
_symmetry_equiv_pos_as_xyz
'x,y,z'
loop_
_atom_site_label
_atom_site_type_symbol
_atom_site_fract_x
_atom_site_fract_y
_atom_site_fract_z
In1 In 0.000 0.000 0.000
In2 In 0.000 0.500 0.301
In3 In 0.500 0.500 0.743
Au1 Au 0.500 0.000 0.486
```


Structure and calculated powder XRD pattern of Y5Ho4Al (a cell relaxed with GGA-PBE; copper Kα).
Intensities are scaled so that the largest is 100.

Largest 10 diffraction maxima, by intensity, 2θ from 10° to 90°:
2θ (°)  I (rel.)
31.36  100
35.89  40
61.69  28
29.27  16
52.75  14
51.66  14
59.76  13
49.89  12
82.88  10
37.33  10

Structure:
```
data_Y5Ho4Al
_chemical_formula_sum 'Y5 Ho4 Al1'
_cell_length_a 3.539
_cell_length_b 3.539
_cell_length_c 24.089
_cell_angle_alpha 90.00
_cell_angle_beta 90.00
_cell_angle_gamma 90.00
_symmetry_space_group_name_H-M 'P 1'
_symmetry_Int_Tables_number 1
loop_
_symmetry_equiv_pos_as_xyz
'x,y,z'
loop_
_atom_site_label
_atom_site_type_symbol
_atom_site_fract_x
_atom_site_fract_y
_atom_site_fract_z
Y1 Y 0.000 0.000 0.000
Y2 Y 0.000 0.000 0.210
Y3 Y 0.000 0.000 0.421
Y4 Y 0.000 0.000 0.579
Y5 Y 0.000 0.000 0.790
Ho1 Ho 0.500 0.500 0.105
Ho2 Ho 0.500 0.500 0.314
Ho3 Ho 0.500 0.500 0.686
Ho4 Ho 0.500 0.500 0.895
Al1 Al 0.500 0.500 0.500
```